This entry pairs a crystal structure of KNpTe4 with its theoretical X-ray diffraction stick pattern. Radiation: Cu Kα. Structure: a cell relaxed with PBE.
Peak positions follow from Bragg's law for the DFT cell and can differ from measured ones.

a = 6.850 Å, b = 6.850 Å, c = 8.920 Å
α = 90.00°, β = 90.00°, γ = 90.00°
Space group P4/nbm (No. 125, origin choice 2)
Symmetry-distinct sites (fractional):
K  0.250  0.250  0.000
Np  0.250  0.250  0.500
Te  0.101  0.601  0.293

Largest 10 diffraction maxima, low angle first, 10° ≤ 2θ ≤ 90°:
d_spacing  intensity  h k l
3.281  91  1 1 2
2.897  100  2 1 1
2.716  49  2 0 2
2.534  26  1 1 3
2.166  49  3 1 0
2.134  21  2 1 3
2.105  22  3 1 1
1.803  21  2 1 4
1.599  26  4 0 2
1.518  22  3 3 2